The following is a theoretical powder X-ray diffraction pattern of Dy12ScNi6. It was derived from a PBE-relaxed structure, using Cu Kα (λ = 1.5418 Å).
Lines closer than 0.1° are merged.

Lattice parameters (Å, degrees): 8.467 8.467 8.467 109.47 109.47 109.47
Fractional coordinates of all 19 atoms:
Dy1 0.123 0.815 0.308
Dy2 0.185 0.308 0.492
Dy3 0.185 0.692 0.877
Dy4 0.308 0.123 0.815
Dy5 0.308 0.492 0.185
Dy6 0.492 0.185 0.308
Dy7 0.508 0.815 0.692
Dy8 0.692 0.508 0.815
Dy9 0.692 0.877 0.185
Dy10 0.815 0.308 0.123
Dy11 0.815 0.692 0.508
Dy12 0.877 0.185 0.692
Sc1 0.000 0.000 0.000
Ni1 0.123 0.623 0.500
Ni2 0.377 0.500 0.877
Ni3 0.500 0.123 0.623
Ni4 0.500 0.877 0.377
Ni5 0.623 0.500 0.123
Ni6 0.877 0.377 0.500

The 8 most intense peaks (10° ≤ 2θ ≤ 90°), by intensity:
Position (°2θ)  intensity
34.32  100
28.88  48
54.74  37
58.16  32
31.70  32
47.41  20
85.42  17
83.99  16